Entry 1:
For Ba5Mn3ClO12, a crystal structure in the Materials Project, relaxed with PBE+U gives the calculated XRD peak list in this record (Cu Kα X-rays).

Peak list (10 most intense, 10° ≤ 2θ ≤ 90°, by intensity)
2θ 28.22, I = 100
2θ 27.97, I = 97
2θ 29.00, I = 58
2θ 40.91, I = 40
2θ 43.20, I = 32
2θ 25.51, I = 24
2θ 44.27, I = 24
2θ 45.57, I = 21
2θ 44.97, I = 20
2θ 55.51, I = 16

Atomic structure:
Lattice parameters (Å, degrees): 10.667 10.667 7.853 90.00 90.00 120.00
Sites, in units of the cell vectors:
Ba1 0.009 0.752 0.250
Ba2 0.248 0.257 0.250
Ba3 0.257 0.009 0.750
Ba4 0.333 0.667 0.502
Ba5 0.333 0.667 0.998
Ba6 0.667 0.333 0.002
Ba7 0.667 0.333 0.498
Ba8 0.743 0.991 0.250
Ba9 0.752 0.743 0.750
Ba10 0.991 0.248 0.750
Mn1 0.033 0.629 0.750
Mn2 0.371 0.404 0.750
Mn3 0.404 0.033 0.250
Mn4 0.596 0.967 0.750
Mn5 0.629 0.596 0.250
Mn6 0.967 0.371 0.250
Cl1 0.000 0.000 0.000
Cl2 0.000 0.000 0.500
O1 0.097 0.741 0.576
O2 0.097 0.741 0.924
O3 0.123 0.532 0.750
O4 0.152 0.479 0.250
O5 0.259 0.356 0.576
O6 0.259 0.356 0.924
O7 0.327 0.848 0.250
O8 0.356 0.097 0.076
O9 0.356 0.097 0.424
O10 0.409 0.877 0.750
O11 0.468 0.591 0.750
O12 0.479 0.327 0.750
O13 0.521 0.673 0.250
O14 0.532 0.409 0.250
O15 0.591 0.123 0.250
O16 0.644 0.903 0.576
O17 0.644 0.903 0.924
O18 0.673 0.152 0.750
O19 0.741 0.644 0.076
O20 0.741 0.644 0.424
O21 0.848 0.521 0.750
O22 0.877 0.468 0.250
O23 0.903 0.259 0.076
O24 0.903 0.259 0.424

=====

Entry 2:
For Ca2MnFeSi4H5O15, a crystal structure in the Materials Project, relaxed with PBE+U gives the calculated XRD peak list in this record (Cu Kα X-rays).

Peak list (10 most intense, 10° ≤ 2θ ≤ 90°, by intensity)
2θ 10.84, I = 100
2θ 21.33, I = 84
2θ 32.27, I = 83
2θ 11.73, I = 70
2θ 28.48, I = 67
2θ 22.65, I = 58
2θ 24.52, I = 56
2θ 17.37, I = 55
2θ 28.23, I = 48
2θ 18.60, I = 45

Atomic structure:
Lattice parameters (Å, degrees): 8.865 9.049 10.200 78.02 67.34 64.57
Sites, in units of the cell vectors:
Ca1 0.081 0.315 0.422
Ca2 0.368 0.801 0.497
Ca3 0.632 0.199 0.503
Ca4 0.919 0.685 0.578
Mn1 0.207 0.516 0.776
Mn2 0.793 0.484 0.224
Fe1 0.481 0.658 0.130
Fe2 0.519 0.342 0.870
Si1 0.116 0.665 0.218
Si2 0.117 0.298 0.962
Si3 0.459 0.693 0.788
Si4 0.475 0.990 0.833
Si5 0.525 0.010 0.167
Si6 0.541 0.307 0.212
Si7 0.883 0.702 0.038
Si8 0.884 0.335 0.782
H1 0.130 0.819 0.234
H2 0.164 0.858 0.833
H3 0.254 0.059 0.151
H4 0.287 0.527 0.505
H5 0.458 0.105 0.375
H6 0.542 0.895 0.625
H7 0.713 0.473 0.495
H8 0.746 0.941 0.849
H9 0.836 0.142 0.167
H10 0.870 0.181 0.766
O1 0.008 0.588 0.359
O2 0.029 0.714 0.091
O3 0.044 0.314 0.135
O4 0.102 0.020 0.447
O5 0.153 0.062 0.539
O6 0.222 0.619 0.569
O7 0.274 0.844 0.755
O8 0.288 0.119 0.925
O9 0.328 0.542 0.162
O10 0.356 0.570 0.876
O11 0.366 0.969 0.155
O12 0.405 0.304 0.375
O13 0.454 0.327 0.723
O14 0.494 0.795 0.894
O15 0.494 0.995 0.339
O16 0.506 0.005 0.661
O17 0.506 0.205 0.106
O18 0.546 0.673 0.277
O19 0.595 0.696 0.625
O20 0.634 0.031 0.845
O21 0.644 0.430 0.124
O22 0.672 0.458 0.838
O23 0.712 0.881 0.075
O24 0.726 0.156 0.245
O25 0.778 0.381 0.431
O26 0.847 0.938 0.461
O27 0.898 0.980 0.553
O28 0.956 0.686 0.865
O29 0.971 0.286 0.909
O30 0.992 0.412 0.641

=====

Entry 3:
For K2MnOF5, a crystal structure in the Materials Project, relaxed with PBE+U gives the calculated XRD peak list in this record (Cu Kα X-rays).

Peak list (10 most intense, 10° ≤ 2θ ≤ 90°, by intensity)
2θ 14.39, I = 100
2θ 14.64, I = 93
2θ 29.14, I = 69
2θ 44.19, I = 56
2θ 26.12, I = 49
2θ 39.06, I = 49
2θ 26.26, I = 48
2θ 30.96, I = 44
2θ 36.92, I = 37
2θ 36.51, I = 32

Atomic structure:
Lattice parameters (Å, degrees): 6.100 8.199 6.203 90.00 97.16 90.00
Sites, in units of the cell vectors:
K1 0.006 0.250 0.081
K2 0.423 0.750 0.479
K3 0.577 0.250 0.521
K4 0.994 0.750 0.919
Mn1 0.500 0.000 0.000
Mn2 0.500 0.500 0.000
O1 0.061 0.250 0.550
O2 0.939 0.750 0.450
F1 0.265 0.529 0.168
F2 0.265 0.971 0.168
F3 0.300 0.508 0.742
F4 0.300 0.992 0.742
F5 0.462 0.250 0.023
F6 0.538 0.750 0.977
F7 0.700 0.008 0.258
F8 0.700 0.492 0.258
F9 0.735 0.029 0.832
F10 0.735 0.471 0.832

=====

Entry 4:
For Tl3Cr4AgO14, a crystal structure in the Materials Project, relaxed with PBE+U gives the calculated XRD peak list in this record (Cu Kα X-rays).

Peak list (10 most intense, 10° ≤ 2θ ≤ 90°, by intensity)
2θ 30.19, I = 100
2θ 27.05, I = 83
2θ 25.00, I = 83
2θ 26.43, I = 50
2θ 29.32, I = 37
2θ 36.19, I = 35
2θ 21.36, I = 32
2θ 26.64, I = 32
2θ 17.42, I = 28
2θ 44.53, I = 27

Atomic structure:
Lattice parameters (Å, degrees): 7.558 7.558 13.802 101.99 101.99 90.34
Sites, in units of the cell vectors:
Tl1 0.032 0.968 0.750
Tl2 0.248 0.622 0.998
Tl3 0.378 0.752 0.502
Tl4 0.622 0.248 0.498
Tl5 0.752 0.378 0.002
Tl6 0.968 0.032 0.250
Cr1 0.051 0.533 0.256
Cr2 0.132 0.274 0.547
Cr3 0.274 0.132 0.047
Cr4 0.467 0.949 0.244
Cr5 0.533 0.051 0.756
Cr6 0.726 0.868 0.953
Cr7 0.868 0.726 0.453
Cr8 0.949 0.467 0.744
Ag1 0.445 0.555 0.750
Ag2 0.555 0.445 0.250
O1 0.006 0.292 0.439
O2 0.008 0.700 0.360
O3 0.061 0.633 0.163
O4 0.073 0.213 0.036
O5 0.124 0.615 0.780
O6 0.213 0.073 0.536
O7 0.241 0.436 0.290
O8 0.292 0.006 0.939
O9 0.300 0.992 0.140
O10 0.302 0.429 0.584
O11 0.367 0.939 0.337
O12 0.385 0.876 0.720
O13 0.429 0.302 0.084
O14 0.436 0.241 0.790
O15 0.564 0.759 0.210
O16 0.571 0.698 0.916
O17 0.615 0.124 0.280
O18 0.633 0.061 0.663
O19 0.698 0.571 0.416
O20 0.700 0.008 0.860
O21 0.708 0.994 0.061
O22 0.759 0.564 0.710
O23 0.787 0.927 0.464
O24 0.876 0.385 0.220
O25 0.927 0.787 0.964
O26 0.939 0.367 0.837
O27 0.992 0.300 0.640
O28 0.994 0.708 0.561

=====

Entry 5:
For La8Mn7O24, a crystal structure in the Materials Project, relaxed with PBE+U gives the calculated XRD peak list in this record (Cu Kα X-rays).

Peak list (10 most intense, 10° ≤ 2θ ≤ 90°, by intensity)
2θ 32.04, I = 100
2θ 32.60, I = 99
2θ 46.16, I = 60
2θ 31.91, I = 50
2θ 32.46, I = 49
2θ 39.57, I = 46
2θ 22.61, I = 43
2θ 46.56, I = 30
2θ 57.30, I = 29
2θ 56.95, I = 23

Atomic structure:
Lattice parameters (Å, degrees): 7.866 7.871 9.451 113.29 113.35 90.93
Sites, in units of the cell vectors:
La1 0.116 0.113 0.265
La2 0.120 0.638 0.260
La3 0.359 0.363 0.745
La4 0.362 0.885 0.743
La5 0.638 0.115 0.257
La6 0.641 0.637 0.255
La7 0.880 0.362 0.740
La8 0.884 0.887 0.735
Mn1 0.000 0.500 0.500
Mn2 0.250 0.751 0.000
Mn3 0.256 0.255 0.011
Mn4 0.500 0.000 0.500
Mn5 0.500 0.500 0.500
Mn6 0.744 0.745 0.989
Mn7 0.750 0.249 0.000
O1 0.018 0.796 0.033
O2 0.041 0.280 0.532
O3 0.094 0.663 0.752
O4 0.166 0.114 0.773
O5 0.204 0.486 0.968
O6 0.252 0.956 0.475
O7 0.268 0.552 0.533
O8 0.304 0.018 0.038
O9 0.340 0.418 0.256
O10 0.409 0.843 0.248
O11 0.448 0.235 0.468
O12 0.479 0.697 0.961
O13 0.521 0.303 0.039
O14 0.552 0.765 0.532
O15 0.591 0.157 0.752
O16 0.660 0.582 0.744
O17 0.696 0.982 0.962
O18 0.732 0.448 0.467
O19 0.748 0.044 0.525
O20 0.796 0.514 0.032
O21 0.834 0.886 0.227
O22 0.906 0.337 0.248
O23 0.959 0.720 0.468
O24 0.982 0.204 0.967

=====

Entry 6:
For MgFe6O10F2, a crystal structure in the Materials Project, relaxed with PBE+U gives the calculated XRD peak list in this record (Cu Kα X-rays).

Peak list (10 most intense, 10° ≤ 2θ ≤ 90°, by intensity)
2θ 22.80, I = 100
2θ 27.84, I = 90
2θ 35.18, I = 27
2θ 36.46, I = 24
2θ 39.31, I = 22
2θ 48.05, I = 19
2θ 35.91, I = 19
2θ 35.67, I = 18
2θ 53.78, I = 18
2θ 36.21, I = 17

Atomic structure:
Lattice parameters (Å, degrees): 5.043 5.058 8.733 89.12 87.61 78.80
Sites, in units of the cell vectors:
Mg1 0.000 0.000 0.000
Fe1 0.057 0.493 0.486
Fe2 0.065 0.484 0.810
Fe3 0.087 0.492 0.173
Fe4 0.494 0.916 0.332
Fe5 0.511 0.880 0.981
Fe6 0.626 0.076 0.650
O1 0.252 0.637 0.987
O2 0.262 0.650 0.329
O3 0.286 0.115 0.141
O4 0.322 0.133 0.828
O5 0.358 0.184 0.489
O6 0.764 0.824 0.149
O7 0.769 0.811 0.491
O8 0.803 0.847 0.829
O9 0.865 0.339 0.652
O10 0.891 0.355 0.331
F1 0.255 0.638 0.645
F2 0.829 0.369 0.988